[1]
Theoretical X-ray diffraction stick pattern
Compound: Li4Fe2Cu3Sn3O16
Radiation: Cu Ka
Structure: the PBE+U geometry in the Materials Project
Peak positions follow from Bragg's law for the DFT cell and can differ from measured ones.

The 10 most intense peaks (10 to 80 degrees two-theta), low angle first:
Position (°2θ)  d_spacing  I/Imax  (hkl)
18.40  4.823  100  0 0 2
19.20  4.623  65  1 1 1
19.39  4.577  25  2 0 1
25.04  3.556  30  2 0 -2
32.62  2.745  34  2 0 -3
35.32  2.541  68  2 2 -1
44.39  2.041  26  2 2 -3
44.55  2.034  40  2 2 3
59.46  1.555  25  2 2 5
61.35  1.511  29  6 2 0

Structural model:
Unit cell a=10.4362 b=6.1031 c=9.6453 alpha=90.00 beta=90.38 gamma=90.00
Space group Cm (No. 8)
Inequivalent atoms, fractional coordinates:
1 Li 0.0000 0.0000 0.0000 x2
2 Li 0.0049 0.0000 0.4884 x2
3 Li 0.1486 0.5000 0.8954 x2
4 Li 0.3121 0.0000 0.3828 x2
5 Fe 0.1481 0.5000 0.4842 x2
6 Fe 0.3176 0.0000 0.9954 x2
7 Cu 0.0705 0.2557 0.2112 x4
8 Cu 0.1557 0.0000 0.7135 x2
9 Sn 0.3162 0.5000 0.2112 x2
10 Sn 0.4007 0.2451 0.7123 x4
11 O 0.0047 0.5000 0.3372 x2
12 O 0.0690 0.2489 0.5946 x4
13 O 0.1425 0.5000 0.1056 x2
14 O 0.1572 0.0000 0.1003 x2
15 O 0.2235 0.2791 0.3412 x4
16 O 0.2434 0.2202 0.8421 x4
17 O 0.3128 0.0000 0.5974 x2
18 O 0.3250 0.5000 0.5898 x2
19 O 0.4058 0.2551 0.0924 x4
20 O 0.4682 0.0000 0.8431 x2
21 O 0.4929 0.5000 0.8126 x2
22 O 0.4969 0.5000 0.3014 x2

[2]
Theoretical X-ray diffraction stick pattern
Compound: LiFeF4
Radiation: Cu Ka
Structure: the PBE+U geometry in the Materials Project
Peak positions follow from Bragg's law for the DFT cell and can differ from measured ones.

The 10 most intense peaks (10 to 80 degrees two-theta), low angle first:
Position (°2θ)  d_spacing  I/Imax  (hkl)
13.46  6.580  21  0 0 1
14.68  6.035  100  2 0 0
17.00  5.215  36  2 0 -1
23.87  3.727  34  1 1 0
26.47  3.367  53  1 1 -1
27.10  3.290  34  0 0 2
28.50  3.131  41  1 1 1
28.98  3.081  30  4 0 -1
34.44  2.604  20  2 0 2
46.34  1.959  34  0 2 0

Structural model:
Unit cell a=12.5490 b=3.9186 c=6.8416 alpha=90.00 beta=105.89 gamma=90.00
Space group C2/m (No. 12)
Inequivalent atoms, fractional coordinates:
1 Li 0.0892 0.0000 0.2033 x4
2 Fe 0.1945 0.0000 0.7772 x4
3 F 0.0687 0.0000 0.8788 x4
4 F 0.1302 0.0000 0.5036 x4
5 F 0.1492 0.5000 0.2110 x4
6 F 0.2196 0.5000 0.8500 x4

[3]
Theoretical X-ray diffraction stick pattern
Compound: V4O5F7
Radiation: Cu Ka
Structure: the PBE+U geometry in the Materials Project
Peak positions follow from Bragg's law for the DFT cell and can differ from measured ones.

The 10 most intense peaks (10 to 80 degrees two-theta), low angle first:
Position (°2θ)  d_spacing  I/Imax  (hkl)
23.39  3.803  100  1 0 1
23.73  3.749  54  0 1 -2
33.37  2.685  11  1 1 -1
33.76  2.655  7  1 0 -3
47.83  1.902  24  2 0 2
48.57  1.874  12  0 2 -4
53.74  1.706  14  1 1 3
54.07  1.696  7  3 -1 1
54.33  1.689  15  1 2 -3
54.84  1.674  6  1 1 -5

Structural model:
Unit cell a=5.3594 b=5.3646 c=9.1709 alpha=105.95 beta=90.04 gamma=119.82
Space group P1 (No. 1)
Inequivalent atoms, fractional coordinates:
1 V 0.0000 0.0000 0.0000 x1
2 V 0.2155 0.5236 0.7601 x1
3 V 0.4625 0.0149 0.4872 x1
4 V 0.7480 0.5190 0.2558 x1
5 O 0.0887 0.2915 0.8654 x1
6 O 0.0969 0.7657 0.8331 x1
7 O 0.1127 0.8054 0.4002 x1
8 O 0.5934 0.2954 0.3671 x1
9 O 0.9224 0.7847 0.1148 x1
10 F 0.4183 0.2722 0.0802 x1
11 F 0.4318 0.3032 0.6548 x1
12 F 0.4413 0.7769 0.6172 x1
13 F 0.5968 0.7865 0.3351 x1
14 F 0.5976 0.7967 0.8905 x1
15 F 0.9190 0.2732 0.5854 x1
16 F 0.9383 0.3085 0.1457 x1

Copy entry 2 word for word.
Theoretical X-ray diffraction stick pattern
Compound: LiFeF4
Radiation: Cu Ka
Structure: the PBE+U geometry in the Materials Project
Peak positions follow from Bragg's law for the DFT cell and can differ from measured ones.

The 10 most intense peaks (10 to 80 degrees two-theta), low angle first:
Position (°2θ)  d_spacing  I/Imax  (hkl)
13.46  6.580  21  0 0 1
14.68  6.035  100  2 0 0
17.00  5.215  36  2 0 -1
23.87  3.727  34  1 1 0
26.47  3.367  53  1 1 -1
27.10  3.290  34  0 0 2
28.50  3.131  41  1 1 1
28.98  3.081  30  4 0 -1
34.44  2.604  20  2 0 2
46.34  1.959  34  0 2 0

Structural model:
Unit cell a=12.5490 b=3.9186 c=6.8416 alpha=90.00 beta=105.89 gamma=90.00
Space group C2/m (No. 12)
Inequivalent atoms, fractional coordinates:
1 Li 0.0892 0.0000 0.2033 x4
2 Fe 0.1945 0.0000 0.7772 x4
3 F 0.0687 0.0000 0.8788 x4
4 F 0.1302 0.0000 0.5036 x4
5 F 0.1492 0.5000 0.2110 x4
6 F 0.2196 0.5000 0.8500 x4